1.
Structure and theoretical X-ray diffraction stick pattern of Nd3SeBrN2 (a DFT-relaxed cell (PBE, the Materials Project); copper Kα).
Neutral-atom scattering factors, no anomalous dispersion.

Structural model:
a b c (Å): 13.313 4.135 12.853
angles (deg): 90.00 90.00 90.00
Sites, in units of the cell vectors:
Nd 0.020 0.250 0.113
Nd 0.089 0.750 0.614
Nd 0.198 0.250 0.845
Nd 0.302 0.750 0.345
Nd 0.411 0.250 0.114
Nd 0.480 0.750 0.613
Nd 0.520 0.250 0.387
Nd 0.589 0.750 0.886
Nd 0.698 0.250 0.655
Nd 0.802 0.750 0.155
Nd 0.911 0.250 0.386
Nd 0.980 0.750 0.887
Se 0.065 0.750 0.359
Se 0.435 0.250 0.859
Se 0.565 0.750 0.141
Se 0.935 0.250 0.641
Br 0.243 0.750 0.065
Br 0.257 0.250 0.565
Br 0.743 0.750 0.435
Br 0.757 0.250 0.935
N 0.054 0.250 0.934
N 0.142 0.750 0.775
N 0.358 0.250 0.275
N 0.446 0.750 0.434
N 0.554 0.250 0.566
N 0.642 0.750 0.725
N 0.858 0.250 0.225
N 0.946 0.750 0.066

Principal peaks in the range 2θ = 10–80°, low angle first:
26.3°, I 82
27.7°, I 100
30.4°, I 73
30.8°, I 69
32.7°, I 88
33.0°, I 60
34.4°, I 46
43.8°, I 46



2.
Structure and theoretical X-ray diffraction stick pattern of GdSF (a DFT-relaxed cell (PBE, the Materials Project); copper Kα).
Neutral-atom scattering factors, no anomalous dispersion.

Structural model:
a b c (Å): 3.849 3.849 6.919
angles (deg): 90.00 90.00 90.00
Sites, in units of the cell vectors:
Gd 0.250 0.250 0.230
Gd 0.750 0.750 0.770
S 0.250 0.250 0.644
S 0.750 0.750 0.356
F 0.250 0.750 0.000
F 0.750 0.250 0.000

Principal peaks in the range 2θ = 10–80°, low angle first:
25.8°, I 32
26.5°, I 100
32.9°, I 51
42.2°, I 56
45.9°, I 35
47.2°, I 27
55.0°, I 28
67.9°, I 22



3.
Structure and theoretical X-ray diffraction stick pattern of Sr2LiTa2N2O4 (a DFT-relaxed cell (PBE, the Materials Project); copper Kα).
Neutral-atom scattering factors, no anomalous dispersion.

Structural model:
a b c (Å): 5.779 5.779 5.893
angles (deg): 119.81 119.81 89.14
Sites, in units of the cell vectors:
Sr 0.199 0.199 0.408
Sr 0.801 0.801 0.592
Li 0.500 0.500 0.000
Ta 0.000 0.500 0.000
Ta 0.500 0.000 0.000
N 0.249 0.751 0.000
N 0.751 0.249 0.000
O 0.229 0.771 0.500
O 0.274 0.274 0.037
O 0.726 0.726 0.963
O 0.771 0.229 0.500

Principal peaks in the range 2θ = 10–80°, low angle first:
21.0°, I 29
30.3°, I 90
30.6°, I 85
31.0°, I 100
44.0°, I 29
53.8°, I 28
54.5°, I 34
55.0°, I 35



4.
Structure and theoretical X-ray diffraction stick pattern of LaGaSi (a DFT-relaxed cell (PBE, the Materials Project); copper Kα).
Neutral-atom scattering factors, no anomalous dispersion.

Structural model:
a b c (Å): 7.867 7.867 7.867
angles (deg): 148.22 148.22 45.56
Sites, in units of the cell vectors:
La 0.000 0.000 0.000
La 0.750 0.250 0.500
Ga 0.167 0.667 0.500
Ga 0.417 0.417 0.000
Si 0.334 0.834 0.500
Si 0.584 0.584 0.000

Principal peaks in the range 2θ = 10–80°, low angle first:
27.7°, I 40
31.9°, I 100
37.4°, I 45
41.9°, I 36
48.8°, I 21
57.4°, I 25
66.2°, I 16
70.3°, I 20



5.
Structure and theoretical X-ray diffraction stick pattern of UAl7GaFe4 (a DFT-relaxed cell (PBE, the Materials Project); copper Kα).
Neutral-atom scattering factors, no anomalous dispersion.

Structural model:
a b c (Å): 6.685 6.685 6.685
angles (deg): 134.87 98.33 98.61
Sites, in units of the cell vectors:
U 0.000 0.000 0.000
Al 0.002 0.002 0.498
Al 0.002 0.505 0.001
Al 0.358 0.003 0.355
Al 0.504 0.002 0.999
Al 0.504 0.505 0.502
Al 0.643 0.643 0.000
Al 0.649 0.003 0.645
Ga 0.354 0.354 0.000
Fe 0.204 0.504 0.701
Fe 0.207 0.707 0.500
Fe 0.787 0.287 0.500
Fe 0.803 0.504 0.299

Principal peaks in the range 2θ = 10–80°, low angle first:
14.3°, I 59
20.3°, I 26
28.7°, I 65
35.0°, I 24
35.5°, I 42
40.8°, I 40
41.2°, I 100
67.0°, I 23



6.
Structure and theoretical X-ray diffraction stick pattern of NiAsPd (a DFT-relaxed cell (PBE, the Materials Project); copper Kα).
Neutral-atom scattering factors, no anomalous dispersion.

Structural model:
a b c (Å): 6.247 6.247 3.751
angles (deg): 90.00 90.00 120.00
Sites, in units of the cell vectors:
Ni 0.000 0.745 0.000
Ni 0.255 0.255 0.000
Ni 0.745 0.000 0.000
As 0.000 0.000 0.500
As 0.333 0.667 0.000
As 0.667 0.333 0.000
Pd 0.000 0.405 0.500
Pd 0.405 0.000 0.500
Pd 0.595 0.595 0.500

Principal peaks in the range 2θ = 10–80°, low angle first:
37.5°, I 100
41.1°, I 85
44.3°, I 33
48.5°, I 30
50.6°, I 30
50.9°, I 20
67.8°, I 18
72.8°, I 20



7.
Structure and theoretical X-ray diffraction stick pattern of NbCoB2 (a DFT-relaxed cell (PBE, the Materials Project); copper Kα).
Neutral-atom scattering factors, no anomalous dispersion.

Structural model:
a b c (Å): 5.972 3.160 8.204
angles (deg): 90.00 90.00 90.00
Sites, in units of the cell vectors:
Nb 0.136 0.250 0.132
Nb 0.364 0.750 0.632
Nb 0.636 0.250 0.368
Nb 0.864 0.750 0.868
Co 0.009 0.750 0.387
Co 0.491 0.250 0.887
Co 0.509 0.750 0.113
Co 0.991 0.250 0.613
B 0.165 0.250 0.829
B 0.232 0.250 0.423
B 0.268 0.750 0.923
B 0.335 0.750 0.329
B 0.665 0.250 0.671
B 0.732 0.250 0.077
B 0.768 0.750 0.577
B 0.835 0.750 0.171

Principal peaks in the range 2θ = 10–80°, low angle first:
26.4°, I 30
31.9°, I 29
33.9°, I 23
39.0°, I 100
41.6°, I 27
44.2°, I 31
46.5°, I 18
47.0°, I 21



8.
Structure and theoretical X-ray diffraction stick pattern of CeAl3Pd (a DFT-relaxed cell (PBE, the Materials Project); copper Kα).
Neutral-atom scattering factors, no anomalous dispersion.

Structural model:
a b c (Å): 6.263 6.263 6.263
angles (deg): 140.95 140.95 56.41
Sites, in units of the cell vectors:
Ce 0.000 0.000 0.000
Al 0.385 0.385 0.000
Al 0.615 0.615 0.000
Al 0.750 0.250 0.500
Pd 0.250 0.750 0.500

Principal peaks in the range 2θ = 10–80°, low angle first:
22.7°, I 59
32.4°, I 71
34.4°, I 100
43.2°, I 36
46.5°, I 22
55.0°, I 39
59.1°, I 17
73.6°, I 21



9.
Structure and theoretical X-ray diffraction stick pattern of Na2LiCuP2O7 (a DFT-relaxed cell (PBE, the Materials Project); copper Kα).
Neutral-atom scattering factors, no anomalous dispersion.

Structural model:
a b c (Å): 7.779 7.779 8.759
angles (deg): 111.20 111.20 44.04
Sites, in units of the cell vectors:
Na 0.203 0.203 0.045
Na 0.503 0.037 0.474
Na 0.797 0.797 0.955
Na 0.963 0.497 0.526
Li 0.592 0.119 0.245
Li 0.881 0.408 0.755
Cu 0.889 0.068 0.753
Cu 0.932 0.111 0.247
P 0.115 0.671 0.385
P 0.329 0.885 0.615
P 0.409 0.365 0.905
P 0.635 0.591 0.095
O 0.137 0.492 0.830
O 0.176 0.010 0.757
O 0.198 0.080 0.508
O 0.261 0.392 0.326
O 0.333 0.667 0.500
O 0.412 0.588 0.000
O 0.508 0.212 0.036
O 0.508 0.863 0.170
O 0.572 0.208 0.766
O 0.608 0.739 0.674
O 0.788 0.492 0.964
O 0.792 0.428 0.234
O 0.920 0.802 0.492
O 0.990 0.824 0.243

Principal peaks in the range 2θ = 10–80°, low angle first:
18.4°, I 58
25.3°, I 25
25.5°, I 80
28.0°, I 100
30.1°, I 61
30.7°, I 28
34.8°, I 26
41.2°, I 24